Diffraction record for Li2Mn3F8. The powder X-ray diffraction pattern is simulated, not measured: it uses a structure optimized by DFT (GGA+U) and Cu Kα (λ = 1.5418 Å).
No peak broadening, texture or thermal motion is included.

Most intense lines, 2θ = 5–70°, sorted by position:
h k l, 2θ (°), d/Å, Rel. int.
1 1 0, 17.8, 4.980, 29
1 2 0, 21.7, 4.088, 100
0 2 1, 23.6, 3.774, 41
1 2 -1, 23.8, 3.740, 94
0 3 1, 28.6, 3.119, 48
1 1 1, 30.6, 2.923, 46
2 1 -1, 31.1, 2.877, 49
0 5 1, 41.1, 2.196, 44
0 4 2, 48.2, 1.888, 28
2 4 -2, 48.7, 1.870, 38

Cell and atoms:
Unit cell a=5.997 b=12.392 c=5.245 alpha=90.00 beta=114.90 gamma=90.00
Space group P2_1/c (No. 14)
Symmetry-distinct sites (fractional):
Li 0.216 0.119 0.154 (multiplicity 4)
Mn 0.000 0.000 0.500 (multiplicity 2)
Mn 0.396 0.648 0.664 (multiplicity 4)
F 0.081 0.645 0.283 (multiplicity 4)
F 0.233 0.525 0.800 (multiplicity 4)
F 0.285 0.082 0.840 (multiplicity 4)
F 0.478 0.202 0.417 (multiplicity 4)